This entry pairs a crystal structure of Bi2WO8 with its computed powder diffraction line list. Radiation: copper Kα. Structure: DFT lattice parameters and positions (PBE+U).
Peak positions follow from Bragg's law for the DFT cell and can differ from measured ones.

Top 10 peaks for 10° ≤ 2θ ≤ 90°, low angle first:
Position (°2θ)	I/Imax
17.27	75
18.59	73
20.38	64
21.26	53
26.22	72
27.31	100
28.82	70
33.01	64
35.03	71
37.72	36

```
Bi2WO8
1.0
5.4538 0.0000 0.0000
-0.7472 5.6743 0.0000
-1.3455 -2.3824 5.1217
Bi W O
2 1 8
Direct
0.0000 0.0000 0.0000 Bi
0.2421 0.8188 0.4803 Bi
0.6486 0.3987 0.4660 W
0.0143 0.6279 0.6609 O
0.1947 0.1434 0.7861 O
0.3001 0.4285 0.3006 O
0.3824 0.0024 0.2499 O
0.6171 0.7725 0.6818 O
0.6812 0.2731 0.7025 O
0.7767 0.2611 0.1856 O
0.8925 0.7753 0.1960 O
```

***

This entry pairs a crystal structure of BiW2O8 with its computed powder diffraction line list. Radiation: copper Kα. Structure: DFT lattice parameters and positions (PBE+U).
Peak positions follow from Bragg's law for the DFT cell and can differ from measured ones.

Top 10 peaks for 10° ≤ 2θ ≤ 90°, low angle first:
Position (°2θ)	I/Imax
17.91	30
18.28	90
19.34	35
25.84	86
27.91	100
28.68	62
30.25	33
30.44	59
33.50	38
35.15	35

```
BiW2O8
1.0
5.3738 0.0000 0.0000
0.1091 5.9702 0.0000
2.2392 2.2345 5.2164
Bi W O
1 2 8
Direct
0.0000 0.0000 0.0000 Bi
0.2549 0.6742 0.5110 W
0.7451 0.3258 0.4890 W
0.1120 0.5081 0.3086 O
0.2254 0.9592 0.2767 O
0.2366 0.7648 0.7667 O
0.3595 0.3169 0.6755 O
0.6405 0.6831 0.3245 O
0.7634 0.2352 0.2333 O
0.7746 0.0408 0.7233 O
0.8880 0.4919 0.6914 O
```

***

This entry pairs a crystal structure of Bi2WO6 with its computed powder diffraction line list. Radiation: copper Kα. Structure: DFT lattice parameters and positions (PBE+U).
Peak positions follow from Bragg's law for the DFT cell and can differ from measured ones.

Top 10 peaks for 10° ≤ 2θ ≤ 90°, low angle first:
Position (°2θ)	I/Imax
20.41	57
24.26	65
26.70	19
28.02	100
28.46	27
29.62	94
34.46	65
42.47	23
49.37	35
51.54	38

```
Bi2WO6
1.0
15.6703 0.0000 0.0000
0.0000 3.6902 0.0000
0.0000 0.0000 10.4648
Bi W O
8 4 24
Direct
0.1039 0.0105 0.0000 Bi
0.1761 0.0233 0.4052 Bi
0.3239 0.0233 0.9052 Bi
0.3961 0.0105 0.5000 Bi
0.6039 0.9895 0.0000 Bi
0.6761 0.9767 0.4052 Bi
0.8239 0.9767 0.9052 Bi
0.8961 0.9895 0.5000 Bi
0.0547 0.5164 0.6915 W
0.4453 0.5164 0.1915 W
0.5547 0.4836 0.6915 W
0.9453 0.4836 0.1915 W
0.0314 0.0150 0.7588 O
0.0701 0.5067 0.1205 O
0.1069 0.5296 0.5236 O
0.1563 0.5309 0.8367 O
0.2332 0.0338 0.0476 O
0.2502 0.5279 0.3132 O
0.2498 0.5279 0.8132 O
0.2668 0.0338 0.5476 O
0.3437 0.5309 0.3367 O
0.3931 0.5296 0.0236 O
0.4299 0.5067 0.6205 O
0.4686 0.0150 0.2588 O
0.5314 0.9850 0.7588 O
0.5701 0.4933 0.1205 O
0.6069 0.4704 0.5236 O
0.6563 0.4691 0.8367 O
0.7332 0.9662 0.0476 O
0.7502 0.4721 0.3132 O
0.7498 0.4721 0.8132 O
0.7668 0.9662 0.5476 O
0.8437 0.4691 0.3367 O
0.8931 0.4704 0.0236 O
0.9299 0.4933 0.6205 O
0.9686 0.9850 0.2588 O
```

***

This entry pairs a crystal structure of Bi2WO6 with its computed powder diffraction line list. Radiation: copper Kα. Structure: DFT lattice parameters and positions (PBE+U).
Peak positions follow from Bragg's law for the DFT cell and can differ from measured ones.

Top 10 peaks for 10° ≤ 2θ ≤ 90°, low angle first:
Position (°2θ)	I/Imax
26.38	56
27.75	48
28.48	100
31.62	61
33.31	26
45.73	26
47.15	19
47.44	23
54.84	17
55.59	15

```
Bi2WO6
1.0
8.2410 -1.9276 0.0000
8.2410 1.9276 0.0000
-1.6925 0.0000 8.1685
Bi W O
4 2 12
Direct
0.1675 0.1675 0.0714 Bi
0.1810 0.1810 0.6054 Bi
0.8190 0.8190 0.3946 Bi
0.8325 0.8325 0.9286 Bi
0.4960 0.4960 0.2972 W
0.5040 0.5040 0.7028 W
0.0060 0.0060 0.6861 O
0.2324 0.2324 0.3655 O
0.2511 0.2511 0.8804 O
0.3925 0.3925 0.1534 O
0.4215 0.4215 0.4852 O
0.4265 0.4265 0.8279 O
0.5735 0.5735 0.1721 O
0.5785 0.5785 0.5148 O
0.6075 0.6075 0.8466 O
0.7489 0.7489 0.1196 O
0.7676 0.7676 0.6345 O
0.9940 0.9940 0.3139 O
```

***

This entry pairs a crystal structure of BiW2O8 with its computed powder diffraction line list. Radiation: copper Kα. Structure: DFT lattice parameters and positions (PBE+U).
Peak positions follow from Bragg's law for the DFT cell and can differ from measured ones.

Top 10 peaks for 10° ≤ 2θ ≤ 90°, low angle first:
Position (°2θ)	I/Imax
17.16	36
18.93	39
22.89	69
28.35	100
29.06	95
34.58	82
35.17	24
48.97	32
49.69	27
50.59	31

```
BiW2O8
1.0
5.1902 0.0000 0.0000
0.0000 5.9925 0.0000
-4.8528 0.0000 10.2056
Bi W O
2 4 16
Direct
0.0000 0.1617 0.2500 Bi
0.0000 0.8383 0.7500 Bi
0.2275 0.3344 0.9910 W
0.2275 0.6656 0.4910 W
0.7725 0.3344 0.5090 W
0.7725 0.6656 0.0090 W
0.1567 0.4081 0.6054 O
0.1567 0.5919 0.1054 O
0.2299 0.1461 0.1213 O
0.2299 0.8539 0.6213 O
0.2453 0.1204 0.8784 O
0.2453 0.8796 0.3784 O
0.3424 0.3967 0.4061 O
0.3424 0.6033 0.9061 O
0.6576 0.3967 0.0939 O
0.6576 0.6033 0.5939 O
0.7547 0.1204 0.6216 O
0.7547 0.8796 0.1216 O
0.7701 0.1461 0.3787 O
0.7701 0.8539 0.8787 O
0.8433 0.4081 0.8946 O
0.8433 0.5919 0.3946 O
```

***

This entry pairs a crystal structure of Bi2WO6 with its computed powder diffraction line list. Radiation: copper Kα. Structure: DFT lattice parameters and positions (PBE+U).
Peak positions follow from Bragg's law for the DFT cell and can differ from measured ones.

Top 10 peaks for 10° ≤ 2θ ≤ 90°, low angle first:
Position (°2θ)	I/Imax
27.76	100
31.37	17
32.45	14
32.64	14
45.76	13
45.91	13
46.69	14
53.66	17
55.07	13
55.32	14

```
Bi2WO6
1.0
5.4865 0.0000 0.0000
0.0000 17.1078 0.0000
0.0000 0.0000 5.5180
Bi W O
8 4 24
Direct
0.0244 0.0756 0.0000 Bi
0.0244 0.5756 0.4842 Bi
0.4756 0.0756 0.5000 Bi
0.4756 0.5756 0.9842 Bi
0.5244 0.4244 0.4842 Bi
0.5244 0.9244 0.0000 Bi
0.9756 0.4244 0.9842 Bi
0.9756 0.9244 0.5000 Bi
0.0028 0.7498 0.9392 W
0.4972 0.7498 0.4392 W
0.5028 0.2502 0.9392 W
0.9972 0.2502 0.4392 W
0.0815 0.6427 0.8785 O
0.0847 0.1432 0.3940 O
0.2172 0.2711 0.6892 O
0.2253 0.7709 0.6348 O
0.2392 0.4995 0.2082 O
0.2397 0.9993 0.7242 O
0.2603 0.9993 0.2242 O
0.2608 0.4995 0.7082 O
0.2747 0.7709 0.1348 O
0.2828 0.2711 0.1892 O
0.4153 0.1432 0.8940 O
0.4185 0.6427 0.3785 O
0.5815 0.3573 0.8785 O
0.5847 0.8568 0.3940 O
0.7173 0.7289 0.6892 O
0.7253 0.2291 0.6348 O
0.7392 0.5005 0.2082 O
0.7397 0.0007 0.7242 O
0.7603 0.0007 0.2242 O
0.7608 0.5005 0.7082 O
0.7747 0.2291 0.1348 O
0.7827 0.7289 0.1892 O
0.9153 0.8568 0.8940 O
0.9185 0.3573 0.3785 O
```

***

This entry pairs a crystal structure of BiWO5 with its computed powder diffraction line list. Radiation: copper Kα. Structure: DFT lattice parameters and positions (PBE+U).
Peak positions follow from Bragg's law for the DFT cell and can differ from measured ones.

Top 10 peaks for 10° ≤ 2θ ≤ 90°, low angle first:
Position (°2θ)	I/Imax
16.29	100
18.05	27
21.59	40
22.75	58
25.42	22
26.86	52
30.97	17
31.80	16
35.35	26
40.95	26

```
BiWO5
1.0
5.7598 0.0000 0.0000
0.0000 11.4638 0.0000
-3.0681 0.0000 8.8201
Bi W O
4 4 20
Direct
0.0034 0.0876 0.1677 Bi
0.0034 0.4124 0.6677 Bi
0.9966 0.5876 0.3323 Bi
0.9966 0.9124 0.8323 Bi
0.1654 0.6459 0.9477 W
0.1654 0.8541 0.4477 W
0.8346 0.1459 0.5523 W
0.8346 0.3541 0.0523 W
0.1315 0.2050 0.6620 O
0.1315 0.2950 0.1620 O
0.1635 0.5907 0.1316 O
0.1635 0.9093 0.6316 O
0.1689 0.0518 0.9887 O
0.1689 0.4482 0.4887 O
0.2644 0.5348 0.8362 O
0.2644 0.9652 0.3362 O
0.3465 0.7229 0.4699 O
0.3465 0.7771 0.9699 O
0.6535 0.2229 0.0301 O
0.6535 0.2771 0.5301 O
0.7356 0.0348 0.6638 O
0.7356 0.4652 0.1638 O
0.8311 0.5518 0.5113 O
0.8311 0.9482 0.0113 O
0.8365 0.0907 0.3684 O
0.8365 0.4093 0.8684 O
0.8685 0.7050 0.8380 O
0.8685 0.7950 0.3380 O
```

***

This entry pairs a crystal structure of BiWO5 with its computed powder diffraction line list. Radiation: copper Kα. Structure: DFT lattice parameters and positions (PBE+U).
Peak positions follow from Bragg's law for the DFT cell and can differ from measured ones.

Top 10 peaks for 10° ≤ 2θ ≤ 90°, low angle first:
Position (°2θ)	I/Imax
10.96	73
16.91	95
18.36	33
23.04	49
23.25	56
24.73	41
26.39	100
33.45	46
34.15	30
49.35	40

```
BiWO5
1.0
6.2397 0.0000 0.0000
0.0000 16.1430 0.0000
0.0000 0.0000 12.0698
Bi W O
8 8 40
Direct
0.0727 0.2082 0.1801 Bi
0.0727 0.2918 0.6801 Bi
0.4273 0.7082 0.1801 Bi
0.4273 0.7918 0.6801 Bi
0.5727 0.2082 0.3199 Bi
0.5727 0.2918 0.8199 Bi
0.9273 0.7082 0.3199 Bi
0.9273 0.7918 0.8199 Bi
0.0206 0.6146 0.6025 W
0.0206 0.8854 0.1025 W
0.4794 0.1146 0.6025 W
0.4794 0.3854 0.1025 W
0.5206 0.6146 0.8975 W
0.5206 0.8854 0.3975 W
0.9794 0.1146 0.8975 W
0.9794 0.3854 0.3975 W
0.1135 0.7014 0.7024 O
0.1135 0.7986 0.2024 O
0.1249 0.0385 0.8259 O
0.1249 0.4615 0.3259 O
0.1503 0.1623 0.0100 O
0.1503 0.3377 0.5100 O
0.2303 0.6510 0.2963 O
0.2303 0.8490 0.7963 O
0.2464 0.0714 0.5449 O
0.2464 0.4286 0.0449 O
0.2536 0.5714 0.5449 O
0.2536 0.9286 0.0449 O
0.2697 0.1510 0.2963 O
0.2697 0.3490 0.7963 O
0.3497 0.6623 0.0100 O
0.3497 0.8377 0.5100 O
0.3751 0.5385 0.8259 O
0.3751 0.9615 0.3259 O
0.3865 0.2014 0.7024 O
0.3865 0.2986 0.2024 O
0.6135 0.7014 0.7976 O
0.6135 0.7986 0.2976 O
0.6249 0.0385 0.6741 O
0.6249 0.4615 0.1741 O
0.6503 0.1623 0.4900 O
0.6503 0.3377 0.9900 O
0.7303 0.6510 0.2037 O
0.7303 0.8490 0.7037 O
0.7464 0.0714 0.9551 O
0.7464 0.4286 0.4551 O
0.7536 0.5714 0.9551 O
0.7536 0.9286 0.4551 O
0.7697 0.1510 0.2037 O
0.7697 0.3490 0.7037 O
0.8497 0.6623 0.4900 O
0.8497 0.8377 0.9900 O
0.8751 0.5385 0.6741 O
0.8751 0.9615 0.1741 O
0.8865 0.2014 0.7976 O
0.8865 0.2986 0.2976 O
```

***

This entry pairs a crystal structure of Bi2WO8 with its computed powder diffraction line list. Radiation: copper Kα. Structure: DFT lattice parameters and positions (PBE+U).
Peak positions follow from Bragg's law for the DFT cell and can differ from measured ones.

Top 10 peaks for 10° ≤ 2θ ≤ 90°, low angle first:
Position (°2θ)	I/Imax
16.40	79
20.01	53
21.58	71
25.04	67
25.33	58
25.86	70
26.56	100
28.66	83
33.14	84
33.83	50

```
Bi2WO8
1.0
5.3785 0.0000 0.0000
-0.4828 5.5669 0.0000
-0.7330 -1.4716 5.4055
Bi W O
2 1 8
Direct
0.0000 0.0000 0.0000 Bi
0.3550 0.5180 0.9594 Bi
0.5841 0.0639 0.4155 W
0.1610 0.7383 0.7542 O
0.2726 0.8316 0.2755 O
0.4046 0.2081 0.1187 O
0.4729 0.3364 0.6183 O
0.6911 0.9080 0.6488 O
0.6916 0.7817 0.1151 O
0.8929 0.2004 0.3485 O
0.9827 0.3312 0.8907 O
```

***

Question: Which formula does entry 7 have?
Answer: BiWO5

***

Question: Number 7 is which compound?
Answer: BiWO5